1.
This entry pairs a crystal structure of HoEr4Mg3 with its simulated powder diffraction line list. Radiation: Cu Kα. Structure: DFT lattice parameters and positions (PBE).

Structural model:
abc: 3.7939 5.3839 10.8982
angles: 90.00 90.00 90.00
Atoms (fractional coordinates):
Ho 0.0000 0.0000 0.0000
Er 0.5000 0.0000 0.2610
Er 0.5000 0.0000 0.7390
Er 0.5000 0.5000 0.0000
Er 0.5000 0.5000 0.5000
Mg 0.0000 0.0000 0.5000
Mg 0.0000 0.5000 0.2511
Mg 0.0000 0.5000 0.7489

Top 10 peaks for 15° ≤ 2θ ≤ 90°, by angle:
- d = 3.830 Å, rel. 21
- d = 3.794 Å, rel. 11
- d = 2.725 Å, rel. 20
- d = 2.695 Å, rel. 100
- d = 1.915 Å, rel. 14
- d = 1.897 Å, rel. 7
- d = 1.567 Å, rel. 15
- d = 1.556 Å, rel. 23
- d = 1.551 Å, rel. 8
- d = 1.348 Å, rel. 10

---

2.
This entry pairs a crystal structure of HoErMg17 with its simulated powder diffraction line list. Radiation: Cu Kα. Structure: DFT lattice parameters and positions (PBE).

Structural model:
abc: 7.7716 7.7716 7.7716
angles: 81.95 81.95 81.95
Atoms (fractional coordinates):
Ho 0.0000 0.0000 0.0000
Er 0.6556 0.6556 0.6556
Mg 0.0220 0.3280 0.6331
Mg 0.0220 0.6331 0.3280
Mg 0.1682 0.6809 0.6809
Mg 0.2288 0.2288 0.2288
Mg 0.3269 0.3269 0.8286
Mg 0.3269 0.8286 0.3269
Mg 0.3280 0.0220 0.6331
Mg 0.3280 0.6331 0.0220
Mg 0.4276 0.4276 0.4276
Mg 0.4888 0.9740 0.9740
Mg 0.6331 0.0220 0.3280
Mg 0.6331 0.3280 0.0220
Mg 0.6809 0.1682 0.6809
Mg 0.6809 0.6809 0.1682
Mg 0.8286 0.3269 0.3269
Mg 0.9740 0.4888 0.9740
Mg 0.9740 0.9740 0.4888

Top 10 peaks for 15° ≤ 2θ ≤ 90°, by angle:
- d = 5.766 Å, rel. 21
- d = 5.091 Å, rel. 46
- d = 3.597 Å, rel. 56
- d = 3.056 Å, rel. 15
- d = 2.942 Å, rel. 34
- d = 2.881 Å, rel. 18
- d = 2.546 Å, rel. 100
- d = 2.538 Å, rel. 16
- d = 2.508 Å, rel. 21
- d = 1.800 Å, rel. 32

---

3.
This entry pairs a crystal structure of Ho7Er3Mg2 with its simulated powder diffraction line list. Radiation: Cu Kα. Structure: DFT lattice parameters and positions (PBE).

Structural model:
abc: 5.6830 3.5114 18.3254
angles: 90.00 93.73 90.00
Atoms (fractional coordinates):
Ho 0.0000 0.0000 0.0000
Ho 0.1786 0.5000 0.1711
Ho 0.2582 0.5000 0.5385
Ho 0.3248 0.0000 0.8529
Ho 0.6752 0.0000 0.1471
Ho 0.7418 0.5000 0.4615
Ho 0.8214 0.5000 0.8289
Er 0.2218 0.0000 0.3692
Er 0.5000 0.5000 0.0000
Er 0.7782 0.0000 0.6308
Mg 0.2974 0.5000 0.7063
Mg 0.7026 0.5000 0.2937

Top 10 peaks for 15° ≤ 2θ ≤ 90°, by angle:
- d = 3.046 Å, rel. 42
- d = 2.831 Å, rel. 47
- d = 2.810 Å, rel. 100
- d = 2.785 Å, rel. 21
- d = 2.760 Å, rel. 28
- d = 2.718 Å, rel. 39
- d = 2.614 Å, rel. 21
- d = 2.353 Å, rel. 20
- d = 1.786 Å, rel. 19
- d = 1.492 Å, rel. 19

---

4.
This entry pairs a crystal structure of Nd4HoEr2Mg with its simulated powder diffraction line list. Radiation: Cu Kα. Structure: DFT lattice parameters and positions (PBE).

Structural model:
abc: 5.0809 5.0809 9.9079
angles: 90.00 90.00 90.00
Atoms (fractional coordinates):
Nd 0.0000 0.5000 0.2457
Nd 0.0000 0.5000 0.7543
Nd 0.5000 0.0000 0.2457
Nd 0.5000 0.0000 0.7543
Ho 0.0000 0.0000 0.5000
Er 0.0000 0.0000 0.0000
Er 0.5000 0.5000 0.5000
Mg 0.5000 0.5000 0.0000

Top 10 peaks for 15° ≤ 2θ ≤ 90°, by angle:
- d = 2.908 Å, rel. 100
- d = 2.540 Å, rel. 35
- d = 2.477 Å, rel. 16
- d = 1.796 Å, rel. 12
- d = 1.774 Å, rel. 24
- d = 1.528 Å, rel. 29
- d = 1.500 Å, rel. 13
- d = 1.454 Å, rel. 12
- d = 1.164 Å, rel. 6
- d = 1.152 Å, rel. 11

---

5.
This entry pairs a crystal structure of Pm2HoEr4Mg with its simulated powder diffraction line list. Radiation: Cu Kα. Structure: DFT lattice parameters and positions (PBE).

Structural model:
abc: 4.9542 4.9397 10.0614
angles: 90.00 90.06 90.00
Atoms (fractional coordinates):
Pm 0.0000 0.0000 0.0000
Pm 0.5000 0.5000 0.5000
Ho 0.0000 0.0000 0.5000
Er 0.0000 0.5000 0.2497
Er 0.0000 0.5000 0.7503
Er 0.4997 0.0000 0.2494
Er 0.5003 0.0000 0.7506
Mg 0.5000 0.5000 0.0000

Top 10 peaks for 15° ≤ 2θ ≤ 90°, by angle:
- d = 2.872 Å, rel. 100
- d = 2.515 Å, rel. 17
- d = 2.477 Å, rel. 17
- d = 2.470 Å, rel. 17
- d = 1.765 Å, rel. 12
- d = 1.762 Å, rel. 12
- d = 1.512 Å, rel. 15
- d = 1.495 Å, rel. 14
- d = 1.492 Å, rel. 14
- d = 1.436 Å, rel. 12

---

6.
This entry pairs a crystal structure of HoErMgS4 with its simulated powder diffraction line list. Radiation: Cu Kα. Structure: DFT lattice parameters and positions (PBE).

Structural model:
abc: 7.8619 7.8619 7.8619
angles: 120.05 119.97 89.98
Atoms (fractional coordinates):
Ho 0.0000 0.0000 0.0000
Ho 0.5000 0.0000 0.5000
Er 0.5000 0.0000 0.0000
Er 0.5000 0.5000 0.5000
Mg 0.1249 0.3749 0.7500
Mg 0.8751 0.6251 0.2500
S 0.2560 0.2453 0.0107
S 0.2556 0.2462 0.4906
S 0.2556 0.7651 0.0094
S 0.2654 0.7547 0.5107
S 0.7346 0.2453 0.4893
S 0.7444 0.2349 0.9906
S 0.7444 0.7538 0.5094
S 0.7440 0.7547 0.9893

Top 10 peaks for 15° ≤ 2θ ≤ 90°, by angle:
- d = 3.352 Å, rel. 100
- d = 3.209 Å, rel. 33
- d = 2.779 Å, rel. 89
- d = 2.551 Å, rel. 27
- d = 2.140 Å, rel. 43
- d = 1.965 Å, rel. 79
- d = 1.879 Å, rel. 28
- d = 1.447 Å, rel. 24
- d = 1.243 Å, rel. 28
- d = 1.135 Å, rel. 26

---

7.
This entry pairs a crystal structure of Ho2Er6MgSc3 with its simulated powder diffraction line list. Radiation: Cu Kα. Structure: DFT lattice parameters and positions (PBE).

Structural model:
abc: 5.9528 5.9528 11.3003
angles: 95.06 95.06 120.01
Atoms (fractional coordinates):
Ho 0.1665 0.8335 0.0000
Ho 0.8335 0.1665 0.0000
Er 0.0807 0.4144 0.7425
Er 0.2518 0.2518 0.2579
Er 0.4144 0.0807 0.7425
Er 0.5856 0.9193 0.2575
Er 0.7482 0.7482 0.7421
Er 0.9193 0.5856 0.2575
Mg 0.5000 0.5000 0.0000
Sc 0.0000 0.0000 0.5000
Sc 0.3342 0.6658 0.5000
Sc 0.6658 0.3342 0.5000

Top 10 peaks for 15° ≤ 2θ ≤ 90°, by angle:
- d = 5.561 Å, rel. 20
- d = 2.930 Å, rel. 13
- d = 2.803 Å, rel. 100
- d = 2.781 Å, rel. 32
- d = 2.423 Å, rel. 66
- d = 1.718 Å, rel. 23
- d = 1.708 Å, rel. 22
- d = 1.465 Å, rel. 14
- d = 1.462 Å, rel. 27
- d = 1.455 Å, rel. 13

---

8.
This entry pairs a crystal structure of SmHo2Er2Mg2 with its simulated powder diffraction line list. Radiation: Cu Kα. Structure: DFT lattice parameters and positions (PBE).

Structural model:
abc: 8.5688 8.5688 8.5688
angles: 36.94 36.94 36.94
Atoms (fractional coordinates):
Sm 0.0000 0.0000 0.0000
Ho 0.4280 0.4280 0.4280
Ho 0.5720 0.5720 0.5720
Er 0.1554 0.1554 0.1554
Er 0.8446 0.8446 0.8446
Mg 0.2891 0.2891 0.2891
Mg 0.7109 0.7109 0.7109

Top 10 peaks for 15° ≤ 2θ ≤ 90°, by angle:
- d = 4.376 Å, rel. 15
- d = 3.354 Å, rel. 31
- d = 2.765 Å, rel. 93
- d = 2.715 Å, rel. 100
- d = 1.937 Å, rel. 33
- d = 1.607 Å, rel. 29
- d = 1.577 Å, rel. 35
- d = 1.567 Å, rel. 19
- d = 1.232 Å, rel. 17
- d = 1.218 Å, rel. 15

---

9.
This entry pairs a crystal structure of Ho2ErMgTl4 with its simulated powder diffraction line list. Radiation: Cu Kα. Structure: DFT lattice parameters and positions (PBE).

Structural model:
abc: 9.3548 9.3548 9.3548
angles: 32.51 32.51 32.51
Atoms (fractional coordinates):
Ho 0.2444 0.2444 0.2444
Ho 0.7556 0.7556 0.7556
Er 0.0000 0.0000 0.0000
Mg 0.5000 0.5000 0.5000
Tl 0.1241 0.1241 0.1241
Tl 0.3754 0.3754 0.3754
Tl 0.6246 0.6246 0.6246
Tl 0.8759 0.8759 0.8759

Top 10 peaks for 15° ≤ 2θ ≤ 90°, by angle:
- d = 2.679 Å, rel. 100
- d = 2.619 Å, rel. 96
- d = 1.873 Å, rel. 35
- d = 1.559 Å, rel. 19
- d = 1.523 Å, rel. 37
- d = 1.512 Å, rel. 18
- d = 1.339 Å, rel. 11
- d = 1.309 Å, rel. 11
- d = 1.192 Å, rel. 16
- d = 1.176 Å, rel. 16

---

10.
This entry pairs a crystal structure of HoErMo with its simulated powder diffraction line list. Radiation: Cu Kα. Structure: DFT lattice parameters and positions (PBE).

Structural model:
abc: 6.6227 6.6227 5.9241
angles: 95.49 95.49 38.32
Atoms (fractional coordinates):
Ho 0.1522 0.1522 0.3659
Ho 0.8478 0.8478 0.6341
Er 0.4279 0.4279 0.2270
Er 0.5721 0.5721 0.7730
Mo 0.2558 0.2558 0.8915
Mo 0.7442 0.7442 0.1085

Top 10 peaks for 15° ≤ 2θ ≤ 90°, by angle:
- d = 3.316 Å, rel. 47
- d = 3.001 Å, rel. 31
- d = 2.774 Å, rel. 34
- d = 2.757 Å, rel. 100
- d = 2.643 Å, rel. 54
- d = 2.357 Å, rel. 56
- d = 2.173 Å, rel. 35
- d = 1.711 Å, rel. 16
- d = 1.679 Å, rel. 28
- d = 1.646 Å, rel. 19